The following is a computed powder XRD pattern of SmAgPbBr6. It was derived from a crystal structure in Alexandria, relaxed with GGA-PBE, using a wavelength of 1.5418 Å.

Structure:
```
SmAgPbBr6
1.0
7.286 0.000 0.000
-3.643 6.310 0.000
0.000 0.000 13.514
Sm Ag Pb Br
2 2 2 12
Cartesian
0.000 4.206 3.378
3.643 2.103 10.135
0.000 4.206 10.135
3.643 2.103 3.378
0.000 0.000 0.000
0.000 0.000 6.757
-1.255 2.205 1.730
-2.361 4.120 5.027
1.255 2.205 5.027
-1.106 6.294 1.730
2.537 0.016 8.487
1.282 2.189 11.784
2.361 4.120 1.730
1.106 6.294 5.027
4.748 0.016 11.784
2.388 4.104 8.487
6.003 2.189 8.487
4.898 4.104 11.784
```

Largest 8 diffraction maxima, low angle first, 15° ≤ 2θ ≤ 90°:
2θ/deg	intensity	hkl
19.25	100	1 0 2
27.82	68	1 1 2
31.29	30	2 0 2
36.26	92	1 1 4
40.10	33	2 1 2
43.01	51	3 0 0
57.48	24	4 -2 4
74.40	22	4 1 4